No. 1
Starting from a structure optimized by DFT (PBE), the powder X-ray diffraction pattern of CaPr2Te3 was computed for copper Kα.
No peak broadening, texture or thermal motion is included.

Top 6 peaks for 15 to 90 degrees two-theta, sorted by position:
| 2θ (°) | d [Å] | I (rel.) |
| --- | --- | --- |
| 27.9 | 3.196 | 100 |
| 39.4 | 2.288 | 13 |
| 39.9 | 2.260 | 51 |
| 49.0 | 1.860 | 14 |
| 49.8 | 1.832 | 13 |
| 65.3 | 1.429 | 23 |

Structural model:
Unit cell a=7.8925 b=7.8925 c=7.8925 alpha=147.09 beta=132.27 gamma=59.20
Fractional coordinates of all 6 atoms:
Ca 0.0000 0.0000 0.0000
Pr 0.3311 0.3311 0.0000
Pr 0.6689 0.6689 0.0000
Te 0.1607 0.6607 0.5000
Te 0.5000 0.0000 0.5000
Te 0.8393 0.3393 0.5000

=====

No. 2
Starting from a structure optimized by DFT (PBE), the powder X-ray diffraction pattern of Ca2Pr2Tl3 was computed for copper Kα.
No peak broadening, texture or thermal motion is included.

Top 6 peaks for 15 to 90 degrees two-theta, sorted by position:
| 2θ (°) | d [Å] | I (rel.) |
| --- | --- | --- |
| 29.4 | 3.035 | 40 |
| 30.5 | 2.934 | 100 |
| 32.9 | 2.719 | 77 |
| 34.1 | 2.629 | 99 |
| 55.0 | 1.671 | 42 |
| 59.4 | 1.556 | 59 |

Structural model:
Unit cell a=16.3016 b=16.3016 c=3.6696 alpha=90.00 beta=90.00 gamma=166.63
Fractional coordinates of all 7 atoms:
Ca 0.1968 0.8032 0.0000
Ca 0.8032 0.1968 0.0000
Pr 0.0678 0.9322 0.0000
Pr 0.9322 0.0678 0.0000
Tl 0.3645 0.6355 0.5000
Tl 0.5000 0.5000 0.5000
Tl 0.6355 0.3645 0.5000

=====

No. 3
Starting from a structure optimized by DFT (PBE), the powder X-ray diffraction pattern of Ca3Pr5Tl2 was computed for copper Kα.
No peak broadening, texture or thermal motion is included.

Top 6 peaks for 15 to 90 degrees two-theta, sorted by position:
| 2θ (°) | d [Å] | I (rel.) |
| --- | --- | --- |
| 18.0 | 4.941 | 74 |
| 26.9 | 3.310 | 54 |
| 29.3 | 3.052 | 58 |
| 30.9 | 2.893 | 100 |
| 33.0 | 2.715 | 90 |
| 49.8 | 1.832 | 59 |

Structural model:
Unit cell a=11.0177 b=11.0177 c=11.0177 alpha=111.73 beta=80.37 gamma=142.86
Fractional coordinates of all 20 atoms:
Ca 0.1764 0.2155 0.3919
Ca 0.2500 0.2500 0.0000
Ca 0.3236 0.7155 0.0391
Ca 0.6764 0.2845 0.9609
Ca 0.7500 0.7500 0.0000
Ca 0.8236 0.7845 0.6081
Pr 0.0494 0.7201 0.7695
Pr 0.0617 0.7500 0.3117
Pr 0.2500 0.7500 0.5000
Pr 0.4383 0.7500 0.6883
Pr 0.4506 0.2201 0.6706
Pr 0.5494 0.7799 0.3293
Pr 0.5617 0.2500 0.3117
Pr 0.7500 0.2500 0.5000
Pr 0.9383 0.2500 0.6883
Pr 0.9506 0.2799 0.2305
Tl 0.1599 0.9254 0.0853
Tl 0.3401 0.4254 0.7655
Tl 0.6599 0.5746 0.2345
Tl 0.8401 0.0746 0.9147

=====

No. 4
Starting from a structure optimized by DFT (PBE), the powder X-ray diffraction pattern of Ca2PrTl5 was computed for copper Kα.
No peak broadening, texture or thermal motion is included.

Top 6 peaks for 15 to 90 degrees two-theta, sorted by position:
| 2θ (°) | d [Å] | I (rel.) |
| --- | --- | --- |
| 31.9 | 2.803 | 100 |
| 34.6 | 2.593 | 41 |
| 41.5 | 2.174 | 12 |
| 49.7 | 1.834 | 15 |
| 55.1 | 1.666 | 21 |
| 60.3 | 1.534 | 33 |

Structural model:
Unit cell a=9.4358 b=9.4358 c=9.4358 alpha=148.10 beta=148.10 gamma=45.74
Fractional coordinates of all 8 atoms:
Ca 0.2494 0.2494 0.0000
Ca 0.7506 0.7506 0.0000
Pr 0.0000 0.0000 0.0000
Tl 0.1280 0.6280 0.5000
Tl 0.3720 0.8720 0.5000
Tl 0.5000 0.5000 0.0000
Tl 0.6280 0.1280 0.5000
Tl 0.8720 0.3720 0.5000

=====

No. 5
Starting from a structure optimized by DFT (PBE), the powder X-ray diffraction pattern of CaPr6Tl4 was computed for copper Kα.
No peak broadening, texture or thermal motion is included.

Top 6 peaks for 15 to 90 degrees two-theta, sorted by position:
| 2θ (°) | d [Å] | I (rel.) |
| --- | --- | --- |
| 31.3 | 2.855 | 16 |
| 33.1 | 2.707 | 100 |
| 34.1 | 2.629 | 29 |
| 35.1 | 2.553 | 24 |
| 43.3 | 2.091 | 16 |
| 51.7 | 1.767 | 22 |

Structural model:
Unit cell a=8.3865 b=8.3865 c=8.3865 alpha=122.45 beta=122.45 gamma=85.80
Fractional coordinates of all 11 atoms:
Ca 0.0000 0.0000 0.0000
Pr 0.0000 0.5000 0.5000
Pr 0.0990 0.4781 0.0000
Pr 0.4781 0.0990 0.0000
Pr 0.5000 0.0000 0.5000
Pr 0.5219 0.5219 0.6209
Pr 0.9010 0.9010 0.3791
Tl 0.2618 0.2618 0.6669
Tl 0.4051 0.7382 0.0000
Tl 0.5949 0.5949 0.3331
Tl 0.7382 0.4051 0.0000

=====

No. 6
Starting from a structure optimized by DFT (PBE), the powder X-ray diffraction pattern of CaPr2Tl6 was computed for copper Kα.
No peak broadening, texture or thermal motion is included.

Top 6 peaks for 15 to 90 degrees two-theta, sorted by position:
| 2θ (°) | d [Å] | I (rel.) |
| --- | --- | --- |
| 24.9 | 3.581 | 33 |
| 31.5 | 2.838 | 42 |
| 31.7 | 2.826 | 84 |
| 33.5 | 2.676 | 100 |
| 33.9 | 2.648 | 48 |
| 42.2 | 2.144 | 34 |

Structural model:
Unit cell a=9.2051 b=9.2051 c=3.5815 alpha=90.06 beta=90.06 gamma=60.72
Fractional coordinates of all 9 atoms:
Ca 0.0000 0.0000 0.0000
Pr 0.3346 0.3346 0.0001
Pr 0.6654 0.6654 0.9999
Tl 0.0014 0.3328 0.5274
Tl 0.3328 0.0014 0.5274
Tl 0.3330 0.6670 0.5000
Tl 0.6670 0.3330 0.5000
Tl 0.6672 0.9986 0.4726
Tl 0.9986 0.6672 0.4726